[1]
This entry pairs a crystal structure of Nd2CdHg with its computed PXRD pattern. Radiation: Cu Ka. Structure: a crystal structure in the Materials Project, relaxed with GGA-PBE.

Structural model:
abc: 7.7044 7.7044 7.7044
angles: 90.00 90.00 90.00
Atoms (fractional coordinates):
Nd1 0.2500 0.2500 0.2500
Nd2 0.2500 0.2500 0.7500
Nd3 0.2500 0.7500 0.2500
Nd4 0.2500 0.7500 0.7500
Nd5 0.7500 0.2500 0.2500
Nd6 0.7500 0.2500 0.7500
Nd7 0.7500 0.7500 0.2500
Nd8 0.7500 0.7500 0.7500
Cd1 0.0000 0.0000 0.0000
Cd2 0.0000 0.5000 0.5000
Cd3 0.5000 0.0000 0.5000
Cd4 0.5000 0.5000 0.0000
Hg1 0.0000 0.0000 0.5000
Hg2 0.0000 0.5000 0.0000
Hg3 0.5000 0.0000 0.0000
Hg4 0.5000 0.5000 0.5000

Peak list (8 most intense, 2θ = 5–70°, sorted by position)
2θ/deg	I (rel.)
20.0	4
32.9	100
38.8	3
47.2	18
51.7	1
58.7	38
62.7	1
68.9	12

=====

[2]
This entry pairs a crystal structure of CdHgO2 with its computed PXRD pattern. Radiation: Cu Ka. Structure: a crystal structure in the Materials Project, relaxed with GGA-PBE.

Structural model:
abc: 6.1836 3.5598 6.4842
angles: 90.00 103.72 90.00
Atoms (fractional coordinates):
Cd1 0.0000 0.0000 0.0000
Cd2 0.5000 0.5000 0.0000
Hg1 0.0000 0.5000 0.5000
Hg2 0.5000 0.0000 0.5000
O1 0.1213 0.5000 0.8176
O2 0.3787 0.0000 0.1824
O3 0.6213 0.0000 0.8176
O4 0.8787 0.5000 0.1824

Peak list (10 most intense, 2θ = 5–70°, sorted by position)
2θ/deg	I (rel.)
28.3	50
29.7	59
30.9	100
34.1	58
36.1	27
46.5	18
49.6	27
51.3	40
56.0	20
61.7	17